Starting from a DFT-relaxed cell (GGA+U, the Materials Project), the powder X-ray diffraction pattern of Li2Mn3FeO8 was computed for λ = 1.5418 Å (Cu Kα).
No peak broadening, texture or thermal motion is included.

Structural model:
```
data_Li2Mn3FeO8
_symmetry_space_group_name_H-M 'C 1 c 1'
_symmetry_Int_Tables_number 9
_symmetry_space_group_name_Hall 'C -2yc'
_cell_length_a 5.9631
_cell_length_b 10.0753
_cell_length_c 9.4866
_cell_angle_alpha 90.00
_cell_angle_beta 90.32
_cell_angle_gamma 90.00
loop_
_atom_site_label
_atom_site_type_symbol
_atom_site_fract_x
_atom_site_fract_y
_atom_site_fract_z
Li1 Li 0.0000 0.0044 0.0000
Li2 Li 0.0114 0.3326 0.6092
Mn1 Mn 0.0022 0.1687 0.2854
Mn2 Mn 0.2480 0.4139 0.2837
Mn3 Mn 0.2585 0.0845 0.7821
Fe1 Fe 0.4989 0.1671 0.5036
O1 O 0.0110 0.4805 0.1632
O2 O 0.0279 0.3258 0.3971
O3 O 0.2225 0.2562 0.1647
O4 O 0.2405 0.0789 0.3967
O5 O 0.2621 0.4193 0.8963
O6 O 0.2875 0.2419 0.6657
O7 O 0.4803 0.4947 0.6854
O8 O 0.4985 0.3357 0.3926
```

Principal peaks in the range 10 to 90 degrees two-theta, in order of rising 2θ:
(hkl), Position (°2θ), d_spacing, intensity
0 0 2, 18.7, 4.743, 96.0
1 1 -1, 19.7, 4.515, 100.0
0 2 1, 20.0, 4.449, 45.1
1 3 2, 36.1, 2.490, 56.3
2 2 1, 36.3, 2.477, 55.3
2 2 -3, 45.4, 1.997, 29.0
2 2 3, 45.6, 1.988, 27.5
2 6 0, 63.6, 1.463, 39.3

Starting from a DFT-relaxed cell (GGA+U, the Materials Project), the powder X-ray diffraction pattern of ZnCo3P3O13 was computed for λ = 1.5418 Å (Cu Kα).
No peak broadening, texture or thermal motion is included.

Structural model:
```
data_ZnCo3P3O13
_symmetry_space_group_name_H-M 'P 1 21/m 1'
_symmetry_Int_Tables_number 11
_symmetry_space_group_name_Hall '-P 2yb'
_cell_length_a 7.4979
_cell_length_b 6.2942
_cell_length_c 10.0470
_cell_angle_alpha 90.00
_cell_angle_beta 100.36
_cell_angle_gamma 90.00
loop_
_atom_site_label
_atom_site_type_symbol
_atom_site_fract_x
_atom_site_fract_y
_atom_site_fract_z
Zn1 Zn 0.1283 0.2500 0.1781
Co1 Co 0.1488 0.2500 0.7971
Co2 Co 0.2913 0.7500 0.4317
Co3 Co 0.5000 0.0000 0.0000
P1 P 0.1826 0.7500 0.1107
P2 P 0.2344 0.7500 0.7606
P3 P 0.2766 0.2500 0.5029
O1 O 0.0104 0.2500 0.9774
O2 O 0.1118 0.5614 0.7886
O3 O 0.1314 0.7500 0.2534
O4 O 0.1483 0.2500 0.6053
O5 O 0.2460 0.0587 0.4050
O6 O 0.2832 0.7500 0.6210
O7 O 0.2897 0.5416 0.0968
O8 O 0.3763 0.2500 0.9058
O9 O 0.4122 0.7500 0.8688
O10 O 0.4737 0.2500 0.5874
```

Principal peaks in the range 10 to 90 degrees two-theta, in order of rising 2θ:
(hkl), Position (°2θ), d_spacing, intensity
1 0 -2, 19.7, 4.496, 100.0
1 0 2, 23.4, 3.801, 55.9
2 0 -1, 24.2, 3.683, 75.6
0 2 0, 28.4, 3.147, 91.9
1 0 3, 31.7, 2.826, 93.0
3 0 -1, 36.1, 2.491, 45.9
0 2 3, 39.6, 2.276, 46.1
0 4 0, 58.7, 1.574, 60.1